Starting from DFT lattice parameters and positions (PBE+U), the powder diffraction line list of NbCo3O8 was simulated for λ = 1.5418 Å (Cu Kα).

Atomic structure:
abc: 5.7235 9.8103 9.2384
angles: 90.00 90.41 90.00
Space group Cc (No. 9)
Symmetry-distinct sites (fractional):
Nb  0.0000  0.1642  0.0000 (multiplicity 4)
Co  0.0074  0.3339  0.7174 (multiplicity 4)
Co  0.2541  0.0862  0.7152 (multiplicity 4)
Co  0.2609  0.4132  0.2158 (multiplicity 4)
O  0.0046  0.3345  0.1045 (multiplicity 4)
O  0.0058  0.1719  0.6131 (multiplicity 4)
O  0.0095  0.4993  0.8125 (multiplicity 4)
O  0.0133  0.0194  0.8280 (multiplicity 4)
O  0.2335  0.2423  0.8295 (multiplicity 4)
O  0.2518  0.4202  0.6005 (multiplicity 4)
O  0.2618  0.0782  0.1024 (multiplicity 4)
O  0.2891  0.2552  0.3330 (multiplicity 4)

Peak list (10 most intense, 2θ = 15–90°, sorted by position)
2θ = 19.2°, rel. 52.0, (0 0 2); 2θ = 20.3°, rel. 46.2, (1 1 -1); 2θ = 20.5°, rel. 100.0, (1 1 1); 2θ = 26.5°, rel. 30.8, (1 1 2); 2θ = 34.4°, rel. 38.5, (0 2 3); 2θ = 37.1°, rel. 35.1, (2 0 2); 2θ = 37.2°, rel. 24.1, (1 3 2); 2θ = 47.3°, rel. 34.0, (2 2 3); 2θ = 63.0°, rel. 32.4, (2 2 5); 2θ = 65.8°, rel. 26.1, (2 6 0)